Entry 1:
Theoretical powder X-ray diffraction pattern of SrSmZrTiO6 for CuKα, from a DFT-relaxed cell (PBE, the Materials Project).
Intensities are scaled so that the largest is 100.

Top 10 peaks for 10 to 90 degrees two-theta, in order of rising 2θ:
18.97°, I = 10.2
31.22°, I = 100.0
36.78°, I = 6.4
38.48°, I = 12.1
44.73°, I = 33.9
55.55°, I = 39.1
65.11°, I = 20.2
73.97°, I = 16.9
78.24°, I = 3.6
82.45°, I = 6.7

```
data_SrSmZrTiO6
_chemical_formula_sum 'Sr4 Sm4 Zr4 Ti4 O24'
_cell_length_a 8.105
_cell_length_b 8.105
_cell_length_c 8.105
_cell_angle_alpha 90.00
_cell_angle_beta 90.00
_cell_angle_gamma 90.00
_symmetry_space_group_name_H-M 'F -4 3 m'
_symmetry_Int_Tables_number 216
_symmetry_space_group_name_Hall 'F -4 2 3'
loop_
_atom_site_label
_atom_site_fract_x
_atom_site_fract_y
_atom_site_fract_z
Sr1 0.000 0.000 0.000
Sm1 0.000 0.000 0.500
Zr1 0.250 0.250 0.750
Ti1 0.250 0.250 0.250
O1 0.007 0.250 0.250
```

Entry 2:
Theoretical powder X-ray diffraction pattern of Pb3ClO3 for CuKα, from a DFT-relaxed cell (PBE, the Materials Project).
Intensities are scaled so that the largest is 100.

Top 10 peaks for 10 to 90 degrees two-theta, in order of rising 2θ:
12.87°, I = 49.1
22.60°, I = 51.1
25.66°, I = 100.0
26.37°, I = 34.2
29.44°, I = 87.4
30.03°, I = 39.7
30.31°, I = 82.4
30.58°, I = 54.0
32.02°, I = 93.2
43.19°, I = 39.1

```
data_Pb3ClO3
_chemical_formula_sum 'Pb12 Cl4 O12'
_cell_length_a 5.898
_cell_length_b 6.878
_cell_length_c 16.499
_cell_angle_alpha 90.00
_cell_angle_beta 90.00
_cell_angle_gamma 90.00
_symmetry_space_group_name_H-M 'P m c 21'
_symmetry_Int_Tables_number 26
loop_
_symmetry_equiv_pos_as_xyz
'x,y,z'
'-x,-y,z+1/2'
'-x,y,z'
'x,-y,z+1/2'
loop_
_atom_site_label
_atom_site_fract_x
_atom_site_fract_y
_atom_site_fract_z
Pb1 0.000 0.023 0.000
Pb2 0.000 0.207 0.201
Pb3 0.000 0.332 0.832
Pb4 0.500 0.030 0.353
Pb5 0.500 0.188 0.598
Pb6 0.500 0.316 0.029
Cl1 0.000 0.349 0.528
Cl2 0.500 0.435 0.250
O1 0.000 0.037 0.783
O2 0.242 0.191 0.929
O3 0.246 0.085 0.095
O4 0.500 0.185 0.466
```